CaHfV2O8: theoretical powder XRD pattern (a wavelength of 1.5418 Å), based on the GGA+U geometry in Alexandria.
Neutral-atom scattering factors, no anomalous dispersion.

Structural model:
Lattice parameters (Å, degrees): 5.8815 5.8815 5.8815 106.14 106.14 116.35
Fractional positions:
Ca 0.0000 0.0000 0.0000
Hf 0.7500 0.2500 0.5000
V 0.2500 0.7500 0.5000
V 0.5000 0.5000 0.0000
O 0.0571 0.3789 0.3219
O 0.0571 0.7352 0.6781
O 0.1349 0.3344 0.8005
O 0.2648 0.9429 0.3219
O 0.5339 0.3344 0.1995
O 0.6211 0.9429 0.6781
O 0.6656 0.4661 0.8005
O 0.6656 0.8651 0.1995

Most intense lines, 10° ≤ 2θ ≤ 90°, sorted by position:
2θ (°), intensity
17.75, 38
19.04, 53
25.20, 100
31.78, 19
34.02, 64
35.94, 17
40.98, 16
50.32, 57
51.74, 16
63.38, 17